The following is a computed X-ray diffraction stick pattern of La2SmYIn2. It was derived from DFT lattice parameters and positions (PBE), using Cu Kα (weighted mean of Kα1 and Kα2).

Crystal structure
Cell lengths 5.214, 10.325, 6.898 Å; angles 90.00, 90.00, 90.00 degrees
Space group Pmc2_1 (No. 26)
Unique sites:
La1 0.000 0.058 0.000 (multiplicity 2)
La2 0.500 0.179 0.226 (multiplicity 2)
Sm1 0.500 0.459 0.870 (multiplicity 2)
Y1 0.000 0.310 0.592 (multiplicity 2)
In1 0.000 0.383 0.132 (multiplicity 2)
In2 0.500 0.148 0.712 (multiplicity 2)

The 10 most intense peaks (2θ = 10–80°), in order of rising 2θ:
hkl	d/Å	Rel. int.
1 2 1	3.239	11
0 3 1	3.080	15
1 3 0	2.873	100
1 1 2	2.771	43
1 3 1	2.652	21
2 0 0	2.607	34
0 3 2	2.436	13
2 3 1	1.990	9
2 3 2	1.780	10
3 3 0	1.552	13